Record 1
Starting from a crystal structure in Alexandria, relaxed with GGA-PBE, the powder X-ray diffraction pattern of BaS2Cl was simulated for copper Kα.
Lines closer than 0.1° are merged.

Crystal structure
```
data_BaS2Cl
_cell_length_a 9.293
_cell_length_b 13.985
_cell_length_c 4.960
_cell_angle_alpha 90.00
_cell_angle_beta 90.00
_cell_angle_gamma 90.00
_space_group_name_H-M_alt 'P 1'
_space_group_IT_number 1
_space_group_name_Hall 'P 1'
loop_
_atom_site_label
_atom_site_type_symbol
_atom_site_fract_x
_atom_site_fract_y
_atom_site_fract_z
Ba1 Ba 0.235 0.000 0.000
Ba2 Ba 0.265 0.500 0.500
Ba3 Ba 0.735 0.500 0.000
Ba4 Ba 0.765 0.000 0.500
S1 S 0.036 0.399 0.942
S2 S 0.036 0.601 0.058
S3 S 0.464 0.101 0.442
S4 S 0.464 0.899 0.558
S5 S 0.536 0.101 0.058
S6 S 0.536 0.899 0.942
S7 S 0.964 0.399 0.558
S8 S 0.964 0.601 0.442
Cl1 Cl 0.000 0.116 0.250
Cl2 Cl 0.000 0.884 0.750
Cl3 Cl 0.500 0.384 0.750
Cl4 Cl 0.500 0.616 0.250
```

Largest 10 diffraction maxima, in order of rising 2θ, 10° ≤ 2θ ≤ 90°:
2θ 12.7, rel. 100
2θ 21.3, rel. 70
2θ 23.0, rel. 23
2θ 28.0, rel. 46
2θ 32.0, rel. 40
2θ 34.7, rel. 36
2θ 38.2, rel. 26
2θ 39.4, rel. 13
2θ 43.4, rel. 13
2θ 50.2, rel. 12

Record 2
Starting from a crystal structure in Alexandria, relaxed with GGA-PBE, the powder X-ray diffraction pattern of BaSb4Cl was simulated for copper Kα.
Lines closer than 0.1° are merged.

Crystal structure
```
data_BaSb4Cl
_cell_length_a 6.458
_cell_length_b 6.458
_cell_length_c 6.458
_cell_angle_alpha 60.00
_cell_angle_beta 60.00
_cell_angle_gamma 60.00
_space_group_name_H-M_alt 'P 1'
_space_group_IT_number 1
_space_group_name_Hall 'P 1'
loop_
_atom_site_label
_atom_site_type_symbol
_atom_site_fract_x
_atom_site_fract_y
_atom_site_fract_z
Ba1 Ba 0.000 0.000 0.000
Sb1 Sb 0.384 0.384 0.384
Sb2 Sb 0.384 0.384 0.849
Sb3 Sb 0.384 0.849 0.384
Sb4 Sb 0.849 0.384 0.384
Cl1 Cl 0.750 0.750 0.750
```

Largest 10 diffraction maxima, in order of rising 2θ, 10° ≤ 2θ ≤ 90°:
2θ 16.8, rel. 21
2θ 19.4, rel. 15
2θ 27.6, rel. 18
2θ 32.5, rel. 100
2θ 34.0, rel. 55
2θ 43.2, rel. 12
2θ 52.0, rel. 41
2θ 57.0, rel. 30
2θ 68.1, rel. 19
2θ 80.8, rel. 21

Record 3
Starting from a crystal structure in Alexandria, relaxed with GGA-PBE, the powder X-ray diffraction pattern of Ba3SbCl2 was simulated for copper Kα.
Lines closer than 0.1° are merged.

Crystal structure
```
data_Ba3SbCl2
_cell_length_a 4.865
_cell_length_b 6.758
_cell_length_c 13.911
_cell_angle_alpha 90.00
_cell_angle_beta 90.00
_cell_angle_gamma 90.00
_space_group_name_H-M_alt 'P 1'
_space_group_IT_number 1
_space_group_name_Hall 'P 1'
loop_
_atom_site_label
_atom_site_type_symbol
_atom_site_fract_x
_atom_site_fract_y
_atom_site_fract_z
Ba1 Ba 0.000 0.000 0.000
Ba2 Ba 0.000 0.000 0.332
Ba3 Ba 0.000 0.000 0.668
Ba4 Ba 0.500 0.500 0.168
Ba5 Ba 0.500 0.500 0.500
Ba6 Ba 0.500 0.500 0.832
Sb1 Sb 0.000 0.500 0.000
Sb2 Sb 0.500 0.000 0.500
Cl1 Cl 0.000 0.500 0.337
Cl2 Cl 0.000 0.500 0.663
Cl3 Cl 0.500 0.000 0.163
Cl4 Cl 0.500 0.000 0.837
```

Largest 10 diffraction maxima, in order of rising 2θ, 10° ≤ 2θ ≤ 90°:
2θ 22.5, rel. 17
2θ 26.4, rel. 51
2θ 26.6, rel. 100
2θ 37.0, rel. 21
2θ 37.8, rel. 77
2θ 38.8, rel. 18
2θ 46.0, rel. 22
2θ 47.6, rel. 19
2θ 61.4, rel. 18
2θ 61.7, rel. 18

Record 4
Starting from a crystal structure in Alexandria, relaxed with GGA-PBE, the powder X-ray diffraction pattern of BaSbCl5 was simulated for copper Kα.
Lines closer than 0.1° are merged.

Crystal structure
```
data_BaSbCl5
_cell_length_a 7.548
_cell_length_b 12.851
_cell_length_c 10.413
_cell_angle_alpha 90.00
_cell_angle_beta 106.25
_cell_angle_gamma 90.00
_space_group_name_H-M_alt 'P 1'
_space_group_IT_number 1
_space_group_name_Hall 'P 1'
loop_
_atom_site_label
_atom_site_type_symbol
_atom_site_fract_x
_atom_site_fract_y
_atom_site_fract_z
Ba1 Ba 0.018 0.224 0.101
Ba2 Ba 0.018 0.276 0.601
Ba3 Ba 0.982 0.724 0.399
Ba4 Ba 0.982 0.776 0.899
Sb1 Sb 0.384 0.007 0.795
Sb2 Sb 0.384 0.493 0.295
Sb3 Sb 0.616 0.507 0.705
Sb4 Sb 0.616 0.993 0.205
Cl1 Cl 0.083 0.120 0.843
Cl2 Cl 0.083 0.380 0.343
Cl3 Cl 0.133 0.627 0.159
Cl4 Cl 0.133 0.873 0.659
Cl5 Cl 0.348 0.084 0.258
Cl6 Cl 0.348 0.416 0.758
Cl7 Cl 0.360 0.128 0.605
Cl8 Cl 0.360 0.372 0.105
Cl9 Cl 0.383 0.636 0.521
Cl10 Cl 0.383 0.864 0.021
Cl11 Cl 0.617 0.136 0.979
Cl12 Cl 0.617 0.364 0.479
Cl13 Cl 0.640 0.628 0.895
Cl14 Cl 0.640 0.872 0.395
Cl15 Cl 0.652 0.584 0.242
Cl16 Cl 0.652 0.916 0.742
Cl17 Cl 0.867 0.127 0.341
Cl18 Cl 0.867 0.373 0.841
Cl19 Cl 0.917 0.620 0.657
Cl20 Cl 0.917 0.880 0.157
```

Largest 10 diffraction maxima, in order of rising 2θ, 10° ≤ 2θ ≤ 90°:
2θ 11.2, rel. 17
2θ 14.7, rel. 29
2θ 18.4, rel. 100
2θ 22.5, rel. 31
2θ 24.5, rel. 21
2θ 27.4, rel. 25
2θ 32.2, rel. 18
2θ 33.5, rel. 29
2θ 37.2, rel. 26
2θ 41.4, rel. 17

Record 5
Starting from a crystal structure in Alexandria, relaxed with GGA-PBE, the powder X-ray diffraction pattern of BaSc4Cl was simulated for copper Kα.
Lines closer than 0.1° are merged.

Crystal structure
```
data_BaSc4Cl
_cell_length_a 6.456
_cell_length_b 6.456
_cell_length_c 6.456
_cell_angle_alpha 60.00
_cell_angle_beta 60.00
_cell_angle_gamma 60.00
_space_group_name_H-M_alt 'P 1'
_space_group_IT_number 1
_space_group_name_Hall 'P 1'
loop_
_atom_site_label
_atom_site_type_symbol
_atom_site_fract_x
_atom_site_fract_y
_atom_site_fract_z
Ba1 Ba 0.000 0.000 0.000
Sc1 Sc 0.373 0.373 0.373
Sc2 Sc 0.373 0.373 0.882
Sc3 Sc 0.373 0.882 0.373
Sc4 Sc 0.882 0.373 0.373
Cl1 Cl 0.750 0.750 0.750
```

Largest 10 diffraction maxima, in order of rising 2θ, 10° ≤ 2θ ≤ 90°:
2θ 16.8, rel. 19
2θ 19.4, rel. 14
2θ 27.6, rel. 45
2θ 32.5, rel. 100
2θ 34.0, rel. 25
2θ 48.9, rel. 18
2θ 52.0, rel. 32
2θ 57.1, rel. 23
2θ 67.2, rel. 11
2θ 80.9, rel. 20

Record 6
Starting from a crystal structure in Alexandria, relaxed with GGA-PBE, the powder X-ray diffraction pattern of Ba9Se2Cl14 was simulated for copper Kα.
Lines closer than 0.1° are merged.

Crystal structure
```
data_Ba9Se2Cl14
_cell_length_a 9.226
_cell_length_b 9.226
_cell_length_c 12.755
_cell_angle_alpha 90.00
_cell_angle_beta 90.00
_cell_angle_gamma 120.00
_space_group_name_H-M_alt 'P 1'
_space_group_IT_number 1
_space_group_name_Hall 'P 1'
loop_
_atom_site_label
_atom_site_type_symbol
_atom_site_fract_x
_atom_site_fract_y
_atom_site_fract_z
Ba1 Ba 0.000 0.000 0.000
Ba2 Ba 0.042 0.341 0.341
Ba3 Ba 0.298 0.958 0.341
Ba4 Ba 0.333 0.667 0.015
Ba5 Ba 0.341 0.298 0.659
Ba6 Ba 0.659 0.702 0.341
Ba7 Ba 0.667 0.333 0.985
Ba8 Ba 0.702 0.042 0.659
Ba9 Ba 0.958 0.659 0.659
Se1 Se 0.333 0.667 0.254
Se2 Se 0.667 0.333 0.746
Cl1 Cl 0.000 0.000 0.255
Cl2 Cl 0.000 0.000 0.745
Cl3 Cl 0.038 0.688 0.908
Cl4 Cl 0.053 0.372 0.591
Cl5 Cl 0.312 0.350 0.908
Cl6 Cl 0.320 0.947 0.591
Cl7 Cl 0.350 0.038 0.092
Cl8 Cl 0.372 0.320 0.409
Cl9 Cl 0.628 0.680 0.591
Cl10 Cl 0.650 0.962 0.908
Cl11 Cl 0.680 0.053 0.409
Cl12 Cl 0.688 0.650 0.092
Cl13 Cl 0.947 0.628 0.409
Cl14 Cl 0.962 0.312 0.092
```

Largest 10 diffraction maxima, in order of rising 2θ, 10° ≤ 2θ ≤ 90°:
2θ 13.1, rel. 19
2θ 20.5, rel. 100
2θ 20.9, rel. 35
2θ 33.6, rel. 59
2θ 34.2, rel. 65
2θ 39.7, rel. 14
2θ 39.9, rel. 30
2θ 40.4, rel. 16
2θ 48.7, rel. 18
2θ 60.5, rel. 15

Record 7
Starting from a crystal structure in Alexandria, relaxed with GGA-PBE, the powder X-ray diffraction pattern of BaSrSeCl2 was simulated for copper Kα.
Lines closer than 0.1° are merged.

Crystal structure
```
data_BaSrSeCl2
_cell_length_a 4.904
_cell_length_b 4.904
_cell_length_c 7.548
_cell_angle_alpha 90.00
_cell_angle_beta 90.00
_cell_angle_gamma 90.00
_space_group_name_H-M_alt 'P 1'
_space_group_IT_number 1
_space_group_name_Hall 'P 1'
loop_
_atom_site_label
_atom_site_type_symbol
_atom_site_fract_x
_atom_site_fract_y
_atom_site_fract_z
Ba1 Ba 0.000 0.000 0.000
Sr1 Sr 0.500 0.500 0.476
Se1 Se 0.500 0.500 0.866
Cl1 Cl 0.000 0.500 0.290
Cl2 Cl 0.500 0.000 0.290
```

Largest 10 diffraction maxima, in order of rising 2θ, 10° ≤ 2θ ≤ 90°:
2θ 21.6, rel. 100
2θ 23.6, rel. 28
2θ 25.7, rel. 56
2θ 28.3, rel. 47
2θ 35.1, rel. 76
2θ 36.6, rel. 60
2θ 40.3, rel. 51
2θ 42.9, rel. 33
2θ 55.6, rel. 39
2θ 65.0, rel. 24

Record 8
Starting from a crystal structure in Alexandria, relaxed with GGA-PBE, the powder X-ray diffraction pattern of Ba2TlSe2Cl2 was simulated for copper Kα.
Lines closer than 0.1° are merged.

Crystal structure
```
data_Ba2TlSe2Cl2
_cell_length_a 5.591
_cell_length_b 5.591
_cell_length_c 16.341
_cell_angle_alpha 90.00
_cell_angle_beta 90.00
_cell_angle_gamma 90.00
_space_group_name_H-M_alt 'P 1'
_space_group_IT_number 1
_space_group_name_Hall 'P 1'
loop_
_atom_site_label
_atom_site_type_symbol
_atom_site_fract_x
_atom_site_fract_y
_atom_site_fract_z
Ba1 Ba 0.000 0.000 0.124
Ba2 Ba 0.000 0.000 0.876
Ba3 Ba 0.500 0.500 0.376
Ba4 Ba 0.500 0.500 0.624
Tl1 Tl 0.000 0.000 0.500
Tl2 Tl 0.500 0.500 0.000
Se1 Se 0.000 0.500 0.000
Se2 Se 0.000 0.500 0.500
Se3 Se 0.500 0.000 0.000
Se4 Se 0.500 0.000 0.500
Cl1 Cl 0.000 0.000 0.306
Cl2 Cl 0.000 0.000 0.694
Cl3 Cl 0.500 0.500 0.194
Cl4 Cl 0.500 0.500 0.806
```

Largest 10 diffraction maxima, in order of rising 2θ, 10° ≤ 2θ ≤ 90°:
2θ 10.8, rel. 100
2θ 22.5, rel. 60
2θ 22.8, rel. 80
2θ 31.7, rel. 77
2θ 32.0, rel. 84
2θ 33.9, rel. 28
2θ 39.7, rel. 40
2θ 45.7, rel. 55
2θ 45.9, rel. 30
2θ 55.7, rel. 22